Entry 1:
# Ta5Al8
Theoretical powder diffraction line list, CuKα. Input: a GGA-PBE-relaxed structure.
Lines closer than 0.1° are merged.

```
Ta5Al8
1.0
2.589 1.495 9.246
-2.589 1.495 9.246
0.000 -2.990 9.246
Ta Al
5 8
Direct
0.000 0.000 0.000
0.169 0.169 0.169
0.348 0.348 0.348
0.652 0.652 0.652
0.831 0.831 0.831
0.089 0.089 0.585
0.089 0.585 0.089
0.415 0.911 0.911
0.454 0.454 0.454
0.546 0.546 0.546
0.585 0.089 0.089
0.911 0.415 0.911
0.911 0.911 0.415
```

Main lines, in order of rising 2θ (10 to 90 degrees two-theta):
two_theta	d [Å]	I/Imax
19.20	4.623	59
25.54	3.488	18
34.64	2.589	75
38.96	2.312	14
39.91	2.259	100
41.06	2.198	27
53.11	1.724	20
65.64	1.422	23

Entry 2:
# Ta7Al8
Theoretical powder diffraction line list, CuKα. Input: a GGA-PBE-relaxed structure.
Lines closer than 0.1° are merged.

```
Ta7Al8
1.0
10.020 0.000 0.000
0.000 10.020 0.000
0.000 0.000 5.084
Ta Al
14 16
Direct
0.000 0.000 0.000
0.024 0.372 0.500
0.099 0.099 0.500
0.128 0.524 0.000
0.372 0.024 0.500
0.401 0.599 0.000
0.476 0.872 0.000
0.500 0.500 0.500
0.524 0.128 0.000
0.599 0.401 0.000
0.628 0.976 0.500
0.872 0.476 0.000
0.901 0.901 0.500
0.976 0.628 0.500
0.062 0.260 0.000
0.183 0.817 0.250
0.183 0.817 0.750
0.240 0.562 0.500
0.260 0.062 0.000
0.317 0.317 0.250
0.317 0.317 0.750
0.438 0.760 0.500
0.562 0.240 0.500
0.683 0.683 0.250
0.683 0.683 0.750
0.740 0.938 0.000
0.760 0.438 0.500
0.817 0.183 0.250
0.817 0.183 0.750
0.938 0.740 0.000
```

Main lines, in order of rising 2θ (10 to 90 degrees two-theta):
two_theta	d [Å]	I/Imax
17.70	5.010	56
26.52	3.362	25
35.31	2.542	29
38.10	2.362	19
39.77	2.267	24
41.17	2.193	100
42.19	2.142	18
67.37	1.390	24

Entry 3:
# Ta4Al25
Theoretical powder diffraction line list, CuKα. Input: a GGA-PBE-relaxed structure.
Lines closer than 0.1° are merged.

```
Ta4Al25
1.0
-4.887 4.887 4.887
4.887 -4.887 4.887
4.887 4.887 -4.887
Ta Al
4 25
Direct
0.000 0.000 0.641
0.000 0.641 0.000
0.359 0.359 0.359
0.641 0.000 0.000
0.000 0.000 0.000
0.000 0.189 0.375
0.000 0.375 0.189
0.000 0.405 0.682
0.000 0.682 0.405
0.185 0.811 0.811
0.189 0.000 0.375
0.189 0.375 0.000
0.277 0.595 0.595
0.318 0.318 0.723
0.318 0.723 0.318
0.375 0.000 0.189
0.375 0.189 0.000
0.405 0.000 0.682
0.405 0.682 0.000
0.595 0.277 0.595
0.595 0.595 0.277
0.625 0.625 0.815
0.625 0.815 0.625
0.682 0.000 0.405
0.682 0.405 0.000
0.723 0.318 0.318
0.811 0.185 0.811
0.811 0.811 0.185
0.815 0.625 0.625
```

Main lines, in order of rising 2θ (10 to 90 degrees two-theta):
two_theta	d [Å]	I/Imax
18.15	4.887	24
22.28	3.990	58
28.89	3.091	13
34.33	2.612	13
39.10	2.304	100
43.43	2.084	16
45.47	1.995	15
70.85	1.330	26

Entry 4:
# Ta3Al2
Theoretical powder diffraction line list, CuKα. Input: a GGA-PBE-relaxed structure.
Lines closer than 0.1° are merged.

```
Ta3Al2
1.0
10.130 0.000 0.000
0.000 10.130 0.000
0.000 0.000 5.198
Ta Al
18 12
Direct
0.000 0.000 0.000
0.036 0.369 0.500
0.065 0.263 0.000
0.131 0.536 0.000
0.237 0.565 0.500
0.263 0.065 0.000
0.369 0.036 0.500
0.435 0.763 0.500
0.464 0.869 0.000
0.500 0.500 0.500
0.536 0.131 0.000
0.565 0.237 0.500
0.631 0.964 0.500
0.737 0.935 0.000
0.763 0.435 0.500
0.869 0.464 0.000
0.935 0.737 0.000
0.964 0.631 0.500
0.099 0.099 0.500
0.185 0.815 0.246
0.185 0.815 0.754
0.315 0.315 0.254
0.315 0.315 0.746
0.401 0.599 0.000
0.599 0.401 0.000
0.685 0.685 0.254
0.685 0.685 0.746
0.815 0.185 0.246
0.815 0.185 0.754
0.901 0.901 0.500
```

Main lines, in order of rising 2θ (10 to 90 degrees two-theta):
two_theta	d [Å]	I/Imax
12.36	7.163	36
17.51	5.065	18
19.19	4.625	34
34.51	2.599	45
36.58	2.457	35
40.62	2.221	100
41.63	2.170	44
65.97	1.416	26

Entry 5:
# Ta10Al3
Theoretical powder diffraction line list, CuKα. Input: a GGA-PBE-relaxed structure.
Lines closer than 0.1° are merged.

```
Ta10Al3
1.0
2.742 1.583 9.334
-2.742 1.583 9.334
0.000 -3.167 9.334
Ta Al
10 3
Direct
0.051 0.051 0.051
0.083 0.590 0.590
0.147 0.147 0.147
0.410 0.410 0.917
0.410 0.917 0.410
0.590 0.083 0.590
0.590 0.590 0.083
0.853 0.853 0.853
0.917 0.410 0.410
0.949 0.949 0.949
0.334 0.334 0.334
0.500 0.500 0.500
0.666 0.666 0.666
```

Main lines, in order of rising 2θ (10 to 90 degrees two-theta):
two_theta	d [Å]	I/Imax
19.01	4.669	57
37.28	2.412	38
38.03	2.366	100
40.09	2.249	22
40.19	2.244	31
41.29	2.187	35
63.40	1.467	17
68.42	1.371	24

Entry 6:
# Ta4Al9
Theoretical powder diffraction line list, CuKα. Input: a GGA-PBE-relaxed structure.
Lines closer than 0.1° are merged.

```
Ta4Al9
1.0
2.573 1.486 9.098
-2.573 1.486 9.098
0.000 -2.971 9.098
Ta Al
4 9
Direct
0.151 0.151 0.151
0.334 0.334 0.334
0.666 0.666 0.666
0.849 0.849 0.849
0.046 0.046 0.046
0.084 0.592 0.592
0.408 0.408 0.916
0.408 0.916 0.408
0.500 0.500 0.500
0.592 0.084 0.592
0.592 0.592 0.084
0.916 0.408 0.408
0.954 0.954 0.954
```

Main lines, in order of rising 2θ (10 to 90 degrees two-theta):
two_theta	d [Å]	I/Imax
19.51	4.549	51
20.97	4.237	30
23.85	3.731	53
34.87	2.573	78
38.68	2.328	40
40.27	2.240	100
42.68	2.118	22
66.17	1.412	23